The following is a computed powder X-ray diffraction pattern of Sr4HgI8. It was derived from DFT lattice parameters and positions (PBE), using a wavelength of 1.5418 Å.

Structural model:
```
Sr4HgI8
1.0
11.509 -2.437 0.000
11.509 2.437 0.000
-9.945 0.000 11.971
Sr Hg I
4 1 8
direct
0.000 0.000 0.000
0.195 0.195 0.710
0.514 0.514 0.364
0.710 0.710 0.074
0.862 0.862 0.545
0.139 0.139 0.453
0.187 0.187 0.194
0.231 0.231 0.953
0.478 0.478 0.121
0.523 0.523 0.880
0.571 0.571 0.621
0.816 0.816 0.782
0.894 0.894 0.292
```

Principal peaks in the range 2θ = 15–90°, sorted by position:
- 2θ 23.38, I = 37.8
- 2θ 23.67, I = 100.0
- 2θ 24.57, I = 59.2
- 2θ 25.08, I = 86.4
- 2θ 25.53, I = 55.9
- 2θ 30.02, I = 49.1
- 2θ 33.76, I = 46.0
- 2θ 36.88, I = 40.2
- 2θ 38.30, I = 67.3
- 2θ 43.01, I = 32.9



The following is a computed powder X-ray diffraction pattern of KOs2Br11. It was derived from DFT lattice parameters and positions (PBE), using a wavelength of 1.5418 Å.

Structural model:
```
KOs2Br11
1.0
8.945 -6.700 0.000
8.945 6.700 0.000
-6.856 0.000 8.847
K Os Br
2 4 22
direct
0.240 0.760 0.000
0.760 0.240 0.000
0.061 0.061 0.353
0.188 0.188 0.876
0.565 0.565 0.810
0.686 0.686 0.526
0.027 0.290 0.350
0.096 0.839 0.361
0.181 0.443 0.983
0.192 0.192 0.643
0.195 0.937 0.754
0.197 0.197 0.101
0.290 0.027 0.350
0.341 0.598 0.620
0.435 0.693 0.411
0.443 0.181 0.983
0.462 0.462 0.889
0.534 0.796 0.004
0.598 0.341 0.620
0.678 0.942 0.662
0.692 0.692 0.770
0.693 0.435 0.411
0.696 0.696 0.321
0.796 0.534 0.004
0.839 0.096 0.361
0.937 0.195 0.754
0.942 0.678 0.662
0.954 0.954 0.071
```

Principal peaks in the range 2θ = 15–90°, sorted by position:
- 2θ 15.84, I = 66.0
- 2θ 16.13, I = 87.0
- 2θ 16.34, I = 82.8
- 2θ 18.23, I = 88.9
- 2θ 24.80, I = 34.2
- 2θ 33.20, I = 100.0
- 2θ 33.41, I = 90.7
- 2θ 40.77, I = 30.9
- 2θ 43.00, I = 44.0
- 2θ 43.20, I = 31.7



The following is a computed powder X-ray diffraction pattern of K2Te2Pb. It was derived from DFT lattice parameters and positions (PBE), using a wavelength of 1.5418 Å.

Structural model:
```
K2Te2Pb
1.0
2.576 -9.804 0.000
2.576 9.804 0.000
0.000 0.000 8.580
K Te Pb
4 4 2
direct
0.039 0.961 0.500
0.199 0.801 0.824
0.801 0.199 0.324
0.961 0.039 0.000
0.178 0.822 0.236
0.438 0.562 0.296
0.562 0.438 0.796
0.822 0.178 0.736
0.407 0.593 0.654
0.593 0.407 0.154
```

Principal peaks in the range 2θ = 15–90°, sorted by position:
- 2θ 17.80, I = 59.5
- 2θ 20.69, I = 77.0
- 2θ 24.32, I = 72.9
- 2θ 28.61, I = 100.0
- 2θ 30.37, I = 48.2
- 2θ 32.61, I = 45.9
- 2θ 34.83, I = 54.2
- 2θ 35.58, I = 48.0
- 2θ 38.04, I = 52.0
- 2θ 38.55, I = 52.8



The following is a computed powder X-ray diffraction pattern of La4PaRh5. It was derived from DFT lattice parameters and positions (PBE), using a wavelength of 1.5418 Å.

Structural model:
```
La4PaRh5
1.0
5.184 0.000 0.000
2.013 6.860 0.000
2.005 0.118 6.896
La Pa Rh
4 1 5
direct
0.000 0.000 0.000
0.002 0.431 0.571
0.270 0.447 0.019
0.629 0.025 0.596
0.560 0.699 0.271
0.020 0.765 0.334
0.286 0.733 0.652
0.288 0.081 0.303
0.691 0.705 0.898
0.694 0.325 0.277
```

Principal peaks in the range 2θ = 15–90°, sorted by position:
- 2θ 26.20, I = 42.9
- 2θ 28.13, I = 33.0
- 2θ 30.61, I = 60.4
- 2θ 32.85, I = 86.5
- 2θ 34.17, I = 25.4
- 2θ 34.85, I = 100.0
- 2θ 36.63, I = 46.1
- 2θ 37.30, I = 30.8
- 2θ 39.18, I = 66.4
- 2θ 39.41, I = 46.6



The following is a computed powder X-ray diffraction pattern of Er2TiRh. It was derived from DFT lattice parameters and positions (PBE), using a wavelength of 1.5418 Å.

Structural model:
```
Er2TiRh
1.0
3.414 0.000 0.000
0.000 3.414 0.000
0.000 0.000 7.421
Er Ti Rh
2 1 1
direct
0.000 0.000 0.223
0.000 0.000 0.777
0.500 0.500 0.500
0.500 0.500 0.000
```

Principal peaks in the range 2θ = 15–90°, sorted by position:
- 2θ 23.98, I = 7.7
- 2θ 26.10, I = 16.0
- 2θ 35.74, I = 100.0
- 2θ 37.25, I = 48.3
- 2θ 45.27, I = 11.7
- 2θ 49.10, I = 7.8
- 2θ 53.69, I = 16.7
- 2θ 63.21, I = 14.5
- 2θ 66.18, I = 32.5
- 2θ 75.71, I = 8.5



The following is a computed powder X-ray diffraction pattern of Ti4CuMo3. It was derived from DFT lattice parameters and positions (PBE), using a wavelength of 1.5418 Å.

Structural model:
```
Ti4CuMo3
1.0
3.190 0.000 0.000
0.000 4.508 0.000
0.000 0.000 8.671
Ti Cu Mo
4 1 3
direct
0.000 0.000 0.000
0.000 0.000 0.500
0.000 0.500 0.247
0.000 0.500 0.753
0.500 0.500 0.500
0.500 0.000 0.256
0.500 0.000 0.744
0.500 0.500 0.000
```

Principal peaks in the range 2θ = 15–90°, sorted by position:
- 2θ 28.56, I = 12.6
- 2θ 40.00, I = 25.8
- 2θ 40.41, I = 100.0
- 2θ 41.66, I = 22.6
- 2θ 57.81, I = 8.2
- 2θ 59.12, I = 15.1
- 2θ 72.61, I = 8.1
- 2θ 72.92, I = 15.9
- 2θ 75.19, I = 14.3
- 2θ 87.37, I = 9.9